The following is a simulated powder diffraction line list of Mn2FeSbO8. It was derived from DFT lattice parameters and positions (PBE+U), using copper Kα.
Kinematic intensities with the Lorentz-polarization factor, no thermal factor.

Most intense lines, 2θ from 15° to 90°, by angle:
- 2θ = 19.6°, I = 15.0
- 2θ = 24.6°, I = 18.5
- 2θ = 27.7°, I = 80.6
- 2θ = 28.0°, I = 76.5
- 2θ = 35.8°, I = 100.0
- 2θ = 39.8°, I = 23.2
- 2θ = 41.2°, I = 18.6
- 2θ = 54.5°, I = 49.2
- 2θ = 54.7°, I = 46.3
- 2θ = 69.7°, I = 30.8

Structure:
```
Mn2FeSbO8
1.0
3.1906 -3.2159 0.0000
3.1906 3.2159 0.0000
0.0000 0.0000 6.0206
Mn Fe Sb O
2 1 1 8
direct
0.0000 0.0000 0.2421
0.0000 0.0000 0.7579
0.5000 0.5000 0.0000
0.5000 0.5000 0.5000
0.1870 0.8130 0.5000
0.1917 0.8083 0.0000
0.3024 0.3024 0.2443
0.3024 0.3024 0.7557
0.6976 0.6976 0.2443
0.6976 0.6976 0.7557
0.8083 0.1917 0.0000
0.8130 0.1870 0.5000
```